(1)
This entry pairs a crystal structure of BePb7 with its theoretical powder XRD pattern. Radiation: copper Kα. Structure: a DFT-relaxed cell (GGA-PBE, Alexandria).

Structural model:
```
BePb7
1.0
0.000 4.921 4.921
4.921 0.000 4.921
4.921 4.921 0.000
Be Pb
1 7
direct
0.000 0.000 0.000
0.000 0.000 0.500
0.000 0.500 0.000
0.000 0.500 0.500
0.500 0.000 0.000
0.500 0.000 0.500
0.500 0.500 0.000
0.500 0.500 0.500
```

Most intense lines, 2θ = 10–90°, low angle first:
15.60°, intensity 9.7
18.03°, intensity 5.3
25.60°, intensity 4.7
30.12°, intensity 6.4
31.49°, intensity 100.0
36.52°, intensity 51.0
52.61°, intensity 36.6
62.61°, intensity 43.9
65.74°, intensity 12.7
77.61°, intensity 6.1
86.14°, intensity 19.4
88.96°, intensity 18.3

---

(2)
This entry pairs a crystal structure of Be3Pb5 with its theoretical powder XRD pattern. Radiation: copper Kα. Structure: a DFT-relaxed cell (GGA-PBE, Alexandria).

Structural model:
```
Be3Pb5
1.0
8.173 0.000 0.000
-4.087 7.078 0.000
0.000 0.000 6.579
Be Pb
6 10
direct
0.000 0.398 0.250
0.000 0.602 0.750
0.398 0.000 0.250
0.398 0.398 0.750
0.602 0.000 0.750
0.602 0.602 0.250
0.000 0.252 0.750
0.000 0.748 0.250
0.252 0.000 0.750
0.252 0.252 0.250
0.333 0.667 0.000
0.333 0.667 0.500
0.667 0.333 0.000
0.667 0.333 0.500
0.748 0.000 0.250
0.748 0.748 0.750
```

Most intense lines, 2θ = 10–90°, low angle first:
25.16°, intensity 46.1
25.66°, intensity 88.8
29.95°, intensity 60.4
33.50°, intensity 46.5
35.02°, intensity 100.0
36.25°, intensity 78.1
38.14°, intensity 41.7
52.74°, intensity 30.7
54.07°, intensity 25.3
54.43°, intensity 24.5
58.55°, intensity 20.5
59.30°, intensity 38.0

---

(3)
This entry pairs a crystal structure of BeRuPb4 with its theoretical powder XRD pattern. Radiation: copper Kα. Structure: a DFT-relaxed cell (GGA-PBE, Alexandria).

Structural model:
```
BeRuPb4
1.0
0.000 4.400 4.400
4.400 0.000 4.400
4.400 4.400 0.000
Be Ru Pb
1 1 4
direct
0.000 0.000 0.000
0.250 0.250 0.250
0.126 0.625 0.625
0.625 0.126 0.625
0.625 0.625 0.126
0.625 0.625 0.625
```

Most intense lines, 2θ = 10–90°, low angle first:
17.46°, intensity 75.6
33.79°, intensity 100.0
35.34°, intensity 83.3
41.03°, intensity 31.1
44.90°, intensity 22.0
54.16°, intensity 35.4
59.42°, intensity 36.1
62.44°, intensity 17.1
70.13°, intensity 12.5
71.07°, intensity 34.4
77.47°, intensity 9.6
84.59°, intensity 23.5

---

(4)
This entry pairs a crystal structure of BePb2Se with its theoretical powder XRD pattern. Radiation: copper Kα. Structure: a DFT-relaxed cell (GGA-PBE, Alexandria).

Structural model:
```
BePb2Se
1.0
3.368 0.000 0.000
0.000 3.368 0.000
0.000 0.000 9.075
Be Pb Se
1 2 1
direct
0.000 0.000 0.000
0.000 0.000 0.685
0.500 0.500 0.406
0.500 0.500 0.026
```

Most intense lines, 2θ = 10–90°, low angle first:
28.26°, intensity 82.5
29.53°, intensity 35.6
33.12°, intensity 100.0
37.77°, intensity 48.0
48.66°, intensity 36.5
54.49°, intensity 16.9
55.98°, intensity 12.7
57.70°, intensity 21.8
62.51°, intensity 18.4
63.19°, intensity 16.9
65.27°, intensity 29.4
83.38°, intensity 16.0

---

(5)
This entry pairs a crystal structure of SrBePb4 with its theoretical powder XRD pattern. Radiation: copper Kα. Structure: a DFT-relaxed cell (GGA-PBE, Alexandria).

Structural model:
```
SrBePb4
1.0
0.000 4.603 4.603
4.603 0.000 4.603
4.603 4.603 0.000
Sr Be Pb
1 1 4
direct
0.000 0.000 0.000
0.750 0.750 0.750
0.375 0.375 0.375
0.375 0.375 0.876
0.375 0.876 0.375
0.876 0.375 0.375
```

Most intense lines, 2θ = 10–90°, low angle first:
16.68°, intensity 82.1
32.25°, intensity 100.0
33.72°, intensity 87.2
39.14°, intensity 34.2
42.81°, intensity 24.6
51.58°, intensity 36.2
56.54°, intensity 37.7
59.39°, intensity 19.3
66.61°, intensity 12.8
67.48°, intensity 36.8
73.45°, intensity 10.6
80.06°, intensity 23.7

---

(6)
This entry pairs a crystal structure of BeTc4Pb with its theoretical powder XRD pattern. Radiation: copper Kα. Structure: a DFT-relaxed cell (GGA-PBE, Alexandria).

Structural model:
```
BeTc4Pb
1.0
0.000 3.673 3.673
3.673 0.000 3.673
3.673 3.673 0.000
Be Tc Pb
1 4 1
direct
0.000 0.000 0.000
0.374 0.374 0.374
0.374 0.374 0.877
0.374 0.877 0.374
0.877 0.374 0.374
0.750 0.750 0.750
```

Most intense lines, 2θ = 10–90°, low angle first:
20.94°, intensity 27.8
24.23°, intensity 27.1
34.53°, intensity 24.6
40.74°, intensity 100.0
42.63°, intensity 41.2
54.44°, intensity 7.2
55.98°, intensity 11.0
61.87°, intensity 9.4
66.09°, intensity 32.1
72.83°, intensity 23.4
86.96°, intensity 11.7
88.23°, intensity 15.4

---

(7)
This entry pairs a crystal structure of BeTePb2 with its theoretical powder XRD pattern. Radiation: copper Kα. Structure: a DFT-relaxed cell (GGA-PBE, Alexandria).

Structural model:
```
BeTePb2
1.0
4.569 0.000 0.000
0.000 3.761 0.000
-2.063 0.000 6.613
Be Te Pb
1 1 2
direct
0.000 0.000 0.000
0.156 0.500 0.224
0.435 0.500 0.845
0.820 0.000 0.576
```

Most intense lines, 2θ = 10–90°, low angle first:
13.39°, intensity 39.6
27.28°, intensity 77.5
27.65°, intensity 94.8
28.61°, intensity 94.3
31.41°, intensity 100.0
31.70°, intensity 74.5
36.17°, intensity 76.4
39.47°, intensity 42.5
40.94°, intensity 28.0
53.86°, intensity 28.3
56.66°, intensity 26.5
57.20°, intensity 27.9

---

(8)
This entry pairs a crystal structure of BeTlPb with its theoretical powder XRD pattern. Radiation: copper Kα. Structure: a DFT-relaxed cell (GGA-PBE, Alexandria).

Structural model:
```
BeTlPb
1.0
6.497 0.000 0.000
0.000 3.806 0.000
-2.117 0.000 12.257
Be Tl Pb
4 4 4
direct
0.000 0.000 0.000
0.164 0.500 0.001
0.500 0.500 0.000
0.664 0.000 0.001
0.065 0.500 0.610
0.302 0.500 0.388
0.565 0.000 0.610
0.802 0.000 0.388
0.286 0.000 0.854
0.377 0.000 0.146
0.786 0.500 0.854
0.877 0.500 0.146
```

Most intense lines, 2θ = 10–90°, low angle first:
27.26°, intensity 33.9
27.59°, intensity 65.9
28.85°, intensity 72.2
29.16°, intensity 100.0
32.11°, intensity 52.3
32.46°, intensity 25.9
33.57°, intensity 80.2
33.72°, intensity 32.2
36.65°, intensity 30.6
48.35°, intensity 54.9
56.97°, intensity 35.9
57.52°, intensity 49.0

---

(9)
This entry pairs a crystal structure of BeTlPb2 with its theoretical powder XRD pattern. Radiation: copper Kα. Structure: a DFT-relaxed cell (GGA-PBE, Alexandria).

Structural model:
```
BeTlPb2
1.0
3.446 0.000 0.000
0.000 3.446 0.000
0.000 0.000 8.645
Be Tl Pb
1 1 2
direct
0.000 0.000 0.000
0.500 0.500 0.803
0.000 0.000 0.504
0.500 0.500 0.195
```

Most intense lines, 2θ = 10–90°, low angle first:
25.86°, intensity 12.7
27.87°, intensity 62.4
31.03°, intensity 31.6
33.25°, intensity 100.0
36.89°, intensity 52.0
48.96°, intensity 36.7
53.16°, intensity 18.6
59.85°, intensity 24.9
61.08°, intensity 14.5
62.84°, intensity 17.6
64.16°, intensity 31.2
84.15°, intensity 19.9

---

(10)
This entry pairs a crystal structure of BeZnPb with its theoretical powder XRD pattern. Radiation: copper Kα. Structure: a DFT-relaxed cell (GGA-PBE, Alexandria).

Structural model:
```
BeZnPb
1.0
4.522 0.000 0.000
0.000 3.858 0.000
-0.985 0.000 6.759
Be Zn Pb
2 2 2
direct
0.127 0.000 0.032
0.873 0.500 0.968
0.351 0.500 0.886
0.649 0.000 0.114
0.209 0.501 0.336
0.791 0.001 0.664
```

Most intense lines, 2θ = 10–90°, low angle first:
25.41°, intensity 43.6
26.60°, intensity 35.7
30.59°, intensity 100.0
30.77°, intensity 51.4
32.21°, intensity 24.9
35.31°, intensity 70.6
35.52°, intensity 22.4
47.11°, intensity 19.4
50.66°, intensity 24.4
51.40°, intensity 22.1
54.28°, intensity 16.7
57.33°, intensity 18.0

---

(11)
This entry pairs a crystal structure of ZrBe4Pb with its theoretical powder XRD pattern. Radiation: copper Kα. Structure: a DFT-relaxed cell (GGA-PBE, Alexandria).

Structural model:
```
ZrBe4Pb
1.0
0.000 3.480 3.480
3.480 0.000 3.480
3.480 3.480 0.000
Zr Be Pb
1 4 1
direct
0.000 0.000 0.000
0.097 0.634 0.634
0.634 0.097 0.634
0.634 0.634 0.097
0.634 0.634 0.634
0.250 0.250 0.250
```

Most intense lines, 2θ = 10–90°, low angle first:
22.12°, intensity 100.0
25.60°, intensity 15.1
36.52°, intensity 85.7
43.11°, intensity 67.5
52.60°, intensity 13.0
57.74°, intensity 24.3
59.39°, intensity 6.2
65.73°, intensity 31.0
70.28°, intensity 21.9
77.60°, intensity 11.3
81.89°, intensity 18.3
88.95°, intensity 14.5

---

(12)
This entry pairs a crystal structure of ZrBe2Pb with its theoretical powder XRD pattern. Radiation: copper Kα. Structure: a DFT-relaxed cell (GGA-PBE, Alexandria).

Structural model:
```
ZrBe2Pb
1.0
3.777 0.000 0.000
-1.889 3.271 0.000
0.000 0.000 16.415
Zr Be Pb
3 6 3
direct
0.000 0.000 0.000
0.333 0.667 0.667
0.667 0.333 0.333
0.000 0.000 0.240
0.000 0.000 0.577
0.333 0.667 0.243
0.333 0.667 0.907
0.667 0.333 0.574
0.667 0.333 0.910
0.000 0.000 0.806
0.333 0.667 0.473
0.667 0.333 0.139
```

Most intense lines, 2θ = 10–90°, low angle first:
16.20°, intensity 26.8
27.81°, intensity 100.0
29.39°, intensity 28.7
32.73°, intensity 23.3
35.08°, intensity 53.9
38.86°, intensity 63.0
48.18°, intensity 35.6
56.55°, intensity 14.2
59.47°, intensity 25.9
63.40°, intensity 13.7
63.55°, intensity 15.0
83.56°, intensity 14.4